This entry pairs a crystal structure of LaHo2UO8 with its computed XRD peak list. Radiation: Cu Kα. Structure: a crystal structure in Alexandria, relaxed with GGA-PBE.

Largest 8 diffraction maxima, sorted by position, 2θ = 10–90°:
h k l  2θ/deg  d_spacing  Rel. int.
1 1 0  28.3  3.153  100
0 1 2  28.6  3.123  93
1 0 2  32.6  2.744  44
0 2 0  33.6  2.667  21
2 0 0  46.4  1.955  18
1 2 2  47.5  1.912  64
2 1 2  55.4  1.657  30
1 1 4  55.9  1.644  28

Crystal structure
```
data_LaHo2UO8
_chemical_formula_sum 'La1 Ho2 U1 O8'
_cell_length_a 3.910
_cell_length_b 5.333
_cell_length_c 7.705
_cell_angle_alpha 90.00
_cell_angle_beta 90.00
_cell_angle_gamma 90.00
_space_group_name_H-M_alt 'P 1'
_space_group_IT_number 1
loop_
_space_group_symop_operation_xyz
'x,y,z'
loop_
_atom_site_label
_atom_site_type_symbol
_atom_site_fract_x
_atom_site_fract_y
_atom_site_fract_z
_atom_site_occupancy
La1 La 0.000 0.000 0.000 1
Ho1 Ho 0.500 0.500 0.264 1
Ho2 Ho 0.500 0.500 0.736 1
U1 U 0.000 0.000 0.500 1
O1 O 0.000 0.245 0.279 1
O2 O 0.000 0.245 0.721 1
O3 O 0.000 0.755 0.279 1
O4 O 0.000 0.755 0.721 1
O5 O 0.500 0.233 0.500 1
O6 O 0.500 0.278 0.000 1
O7 O 0.500 0.722 0.000 1
O8 O 0.500 0.767 0.500 1
```